Starting from a DFT-relaxed cell (GGA-PBE, Alexandria), the powder XRD pattern of Sr3Ag4Hg4 was computed for CuKα.

```
data_Sr3Ag4Hg4
_cell_length_a 30.1423
_cell_length_b 4.0926
_cell_length_c 4.9576
_cell_angle_alpha 90.00
_cell_angle_beta 99.30
_cell_angle_gamma 90.00
_symmetry_space_group_name_H-M 'C 1 2/m 1'
_symmetry_Int_Tables_number 12
_symmetry_space_group_name_Hall '-C 2y'
loop_
_atom_site_label
_atom_site_type_symbol
_atom_site_fract_x
_atom_site_fract_y
_atom_site_fract_z
Sr1 Sr 0.0000 0.0000 0.0000
Sr2 Sr 0.1429 0.0000 0.6434
Ag1 Ag 0.0470 0.5000 0.5479
Ag2 Ag 0.1881 0.5000 0.1900
Hg1 Hg 0.0936 0.5000 0.0934
Hg2 Hg 0.2394 0.5000 0.7408
```

Top 10 peaks for 10° ≤ 2θ ≤ 90°, low angle first:
- hkl 6 0 0, 17.89 deg, I = 16
- hkl 1 1 0, 21.92 deg, I = 25
- hkl 7 1 0, 30.32 deg, I = 39
- hkl 5 1 -1, 30.78 deg, I = 100
- hkl 2 0 -2, 36.24 deg, I = 40
- hkl 12 0 -1, 37.90 deg, I = 51
- hkl 9 1 1, 41.73 deg, I = 30
- hkl 0 2 0, 44.26 deg, I = 21
- hkl 2 2 -2, 58.49 deg, I = 20
- hkl 12 2 -1, 59.65 deg, I = 27


Starting from a DFT-relaxed cell (GGA-PBE, Alexandria), the powder XRD pattern of SrAgHg2 was computed for CuKα.

```
data_SrAgHg2
_cell_length_a 8.6572
_cell_length_b 5.0004
_cell_length_c 5.8766
_cell_angle_alpha 90.00
_cell_angle_beta 119.72
_cell_angle_gamma 90.00
_symmetry_space_group_name_H-M 'C 1 m 1'
_symmetry_Int_Tables_number 8
_symmetry_space_group_name_Hall 'C -2y'
loop_
_atom_site_label
_atom_site_type_symbol
_atom_site_fract_x
_atom_site_fract_y
_atom_site_fract_z
Sr1 Sr 0.0000 0.0000 0.0000
Ag1 Ag 0.2878 0.5000 0.3621
Hg1 Hg 0.2177 0.0000 0.6525
Hg2 Hg 0.4573 0.0000 0.3718
```

Top 10 peaks for 10° ≤ 2θ ≤ 90°, low angle first:
- hkl 0 0 1, 17.38 deg, I = 25
- hkl 1 1 0, 21.33 deg, I = 15
- hkl 2 0 -2, 31.11 deg, I = 21
- hkl 1 1 1, 31.23 deg, I = 41
- hkl 0 2 0, 35.91 deg, I = 100
- hkl 2 0 1, 36.02 deg, I = 12
- hkl 0 2 1, 40.13 deg, I = 13
- hkl 2 2 -2, 48.24 deg, I = 13
- hkl 1 3 1, 61.70 deg, I = 12
- hkl 6 0 -2, 64.58 deg, I = 14


Starting from a DFT-relaxed cell (GGA-PBE, Alexandria), the powder XRD pattern of Sr3Ag3Hg2 was computed for CuKα.

```
data_Sr3Ag3Hg2
_cell_length_a 7.6424
_cell_length_b 7.6424
_cell_length_c 4.6276
_cell_angle_alpha 90.00
_cell_angle_beta 90.00
_cell_angle_gamma 120.00
_symmetry_space_group_name_H-M 'P -6 2 m'
_symmetry_Int_Tables_number 189
_symmetry_space_group_name_Hall 'P -6 -2'
loop_
_atom_site_label
_atom_site_type_symbol
_atom_site_fract_x
_atom_site_fract_y
_atom_site_fract_z
Sr1 Sr 0.0000 0.3592 0.0000
Ag1 Ag 0.0000 0.7731 0.5000
Hg1 Hg 0.3333 0.6667 0.5000
```

Top 10 peaks for 10° ≤ 2θ ≤ 90°, low angle first:
- hkl 0 0 1, 19.18 deg, I = 30
- hkl 1 1 1, 30.33 deg, I = 100
- hkl 2 0 1, 33.28 deg, I = 26
- hkl 2 1 0, 35.90 deg, I = 35
- hkl 0 0 2, 38.92 deg, I = 23
- hkl 3 0 0, 40.91 deg, I = 26
- hkl 2 1 1, 41.01 deg, I = 36
- hkl 2 1 2, 53.98 deg, I = 21
- hkl 3 0 2, 57.74 deg, I = 19
- hkl 4 1 1, 68.00 deg, I = 27


Starting from a DFT-relaxed cell (GGA-PBE, Alexandria), the powder XRD pattern of Sr6AgHg5 was computed for CuKα.

```
data_Sr6AgHg5
_cell_length_a 5.6680
_cell_length_b 7.8704
_cell_length_c 17.0865
_cell_angle_alpha 90.00
_cell_angle_beta 90.00
_cell_angle_gamma 90.00
_symmetry_space_group_name_H-M 'I m m m'
_symmetry_Int_Tables_number 71
_symmetry_space_group_name_Hall '-I 2 2'
loop_
_atom_site_label
_atom_site_type_symbol
_atom_site_fract_x
_atom_site_fract_y
_atom_site_fract_z
Sr1 Sr 0.0000 0.2487 0.0000
Sr2 Sr 0.0000 0.2506 0.3342
Ag1 Ag 0.0000 0.5000 0.5000
Hg1 Hg 0.0000 0.0000 0.1674
Hg2 Hg 0.0000 0.0000 0.5000
Hg3 Hg 0.0000 0.5000 0.1663
```

Top 10 peaks for 10° ≤ 2θ ≤ 90°, low angle first:
- hkl 1 0 3, 22.13 deg, I = 15
- hkl 0 0 6, 31.41 deg, I = 26
- hkl 2 0 0, 31.57 deg, I = 26
- hkl 1 2 3, 31.83 deg, I = 100
- hkl 2 0 6, 45.14 deg, I = 19
- hkl 1 2 9, 56.19 deg, I = 20
- hkl 3 2 3, 56.38 deg, I = 20
- hkl 2 4 0, 56.93 deg, I = 19
- hkl 2 4 6, 66.52 deg, I = 12
- hkl 4 0 6, 74.88 deg, I = 13


Starting from a DFT-relaxed cell (GGA-PBE, Alexandria), the powder XRD pattern of Tb2Ag3Hg3 was computed for CuKα.

```
data_Tb2Ag3Hg3
_cell_length_a 5.0051
_cell_length_b 5.0051
_cell_length_c 24.4008
_cell_angle_alpha 90.00
_cell_angle_beta 90.00
_cell_angle_gamma 120.00
_symmetry_space_group_name_H-M 'R 3 m'
_symmetry_Int_Tables_number 160
_symmetry_space_group_name_Hall 'R 3 -2"'
loop_
_atom_site_label
_atom_site_type_symbol
_atom_site_fract_x
_atom_site_fract_y
_atom_site_fract_z
Tb1 Tb 0.0000 0.0000 0.0000
Tb2 Tb 0.0000 0.0000 0.4992
Ag1 Ag 0.0000 0.0000 0.2512
Ag2 Ag 0.0000 0.0000 0.3742
Ag3 Ag 0.0000 0.0000 0.7484
Hg1 Hg 0.0000 0.0000 0.1241
Hg2 Hg 0.0000 0.0000 0.6259
Hg3 Hg 0.0000 0.0000 0.8742
```

Top 10 peaks for 10° ≤ 2θ ≤ 90°, low angle first:
- hkl 1 0 4, 25.20 deg, I = 4
- hkl 1 1 0, 35.88 deg, I = 100
- hkl 0 1 8, 36.00 deg, I = 99
- hkl 2 0 8, 51.74 deg, I = 35
- hkl 3 0 0, 64.55 deg, I = 54
- hkl 1 0 16, 64.81 deg, I = 18
- hkl 2 2 0, 76.07 deg, I = 11
- hkl 0 2 16, 76.36 deg, I = 11
- hkl 3 1 8, 87.15 deg, I = 16
- hkl 2 1 16, 87.36 deg, I = 16


Starting from a DFT-relaxed cell (GGA-PBE, Alexandria), the powder XRD pattern of Tb3Ag2Hg3 was computed for CuKα.

```
data_Tb3Ag2Hg3
_cell_length_a 20.1913
_cell_length_b 3.8713
_cell_length_c 5.0965
_cell_angle_alpha 90.00
_cell_angle_beta 104.47
_cell_angle_gamma 90.00
_symmetry_space_group_name_H-M 'C 1 2/m 1'
_symmetry_Int_Tables_number 12
_symmetry_space_group_name_Hall '-C 2y'
loop_
_atom_site_label
_atom_site_type_symbol
_atom_site_fract_x
_atom_site_fract_y
_atom_site_fract_z
Tb1 Tb 0.0000 0.0000 0.0000
Tb2 Tb 0.1375 0.0000 0.6368
Ag1 Ag 0.2420 0.0000 0.2415
Hg1 Hg 0.0000 0.5000 0.5000
Hg2 Hg 0.1284 0.5000 0.1275
```

Top 10 peaks for 10° ≤ 2θ ≤ 90°, low angle first:
- hkl 3 1 1, 34.39 deg, I = 100
- hkl 2 0 -2, 35.22 deg, I = 24
- hkl 8 0 0, 36.78 deg, I = 19
- hkl 0 2 0, 46.94 deg, I = 11
- hkl 6 0 2, 51.77 deg, I = 7
- hkl 10 0 -2, 51.91 deg, I = 7
- hkl 2 2 -2, 60.02 deg, I = 10
- hkl 8 2 0, 61.07 deg, I = 9
- hkl 1 1 3, 62.67 deg, I = 18
- hkl 11 1 1, 64.72 deg, I = 12


Starting from a DFT-relaxed cell (GGA-PBE, Alexandria), the powder XRD pattern of Tb3Ag4Hg4 was computed for CuKα.

```
data_Tb3Ag4Hg4
_cell_length_a 3.3725
_cell_length_b 4.8825
_cell_length_c 15.4863
_cell_angle_alpha 99.06
_cell_angle_beta 96.20
_cell_angle_gamma 90.01
_symmetry_space_group_name_H-M 'P -1'
_symmetry_Int_Tables_number 2
_symmetry_space_group_name_Hall '-P 1'
loop_
_atom_site_label
_atom_site_type_symbol
_atom_site_fract_x
_atom_site_fract_y
_atom_site_fract_z
Tb1 Tb 0.0000 0.0000 0.0000
Tb2 Tb 0.1394 0.6392 0.2791
Ag1 Ag 0.2660 0.2657 0.5310
Ag2 Ag 0.4073 0.9080 0.8153
Hg1 Hg 0.3150 0.8152 0.6300
Hg2 Hg 0.4521 0.4525 0.9046
```

Top 10 peaks for 10° ≤ 2θ ≤ 90°, low angle first:
- hkl 1 1 -2, 32.81 deg, I = 26
- hkl 1 0 3, 33.65 deg, I = 53
- hkl 1 1 1, 34.41 deg, I = 87
- hkl 0 2 -1, 36.82 deg, I = 55
- hkl 0 1 5, 37.39 deg, I = 100
- hkl 1 -2 4, 50.73 deg, I = 33
- hkl 2 0 -1, 54.41 deg, I = 18
- hkl 1 1 8, 64.60 deg, I = 17
- hkl 2 2 -2, 67.51 deg, I = 19
- hkl 2 1 4, 67.86 deg, I = 33


Starting from a DFT-relaxed cell (GGA-PBE, Alexandria), the powder XRD pattern of Tb3AgHg2 was computed for CuKα.

```
data_Tb3AgHg2
_cell_length_a 3.7029
_cell_length_b 3.7029
_cell_length_c 11.1537
_cell_angle_alpha 90.00
_cell_angle_beta 90.00
_cell_angle_gamma 90.00
_symmetry_space_group_name_H-M 'P 4/m m m'
_symmetry_Int_Tables_number 123
_symmetry_space_group_name_Hall '-P 4 2'
loop_
_atom_site_label
_atom_site_type_symbol
_atom_site_fract_x
_atom_site_fract_y
_atom_site_fract_z
Tb1 Tb 0.0000 0.0000 0.0000
Tb2 Tb 0.0000 0.0000 0.3382
Ag1 Ag 0.5000 0.5000 0.5000
Hg1 Hg 0.5000 0.5000 0.1679
```

Top 10 peaks for 10° ≤ 2θ ≤ 90°, low angle first:
- hkl 1 0 2, 28.94 deg, I = 1
- hkl 1 1 0, 34.20 deg, I = 100
- hkl 0 0 6, 49.00 deg, I = 6
- hkl 2 0 0, 49.21 deg, I = 12
- hkl 1 1 6, 61.14 deg, I = 12
- hkl 2 1 3, 61.28 deg, I = 25
- hkl 2 0 6, 71.98 deg, I = 8
- hkl 2 2 0, 72.15 deg, I = 4
- hkl 1 0 9, 81.99 deg, I = 5
- hkl 3 1 0, 82.33 deg, I = 11